1.
The following is a calculated PXRD pattern of CsRbSm2P2. It was derived from a crystal structure in OQMD, relaxed with PBE, using λ = 1.5418 Å (Cu Kα).
Lines closer than 0.1° are merged.

Most intense lines, 2θ = 15–90°, by angle:
2theta	intensity	index
22.13	19	0 0 2
26.79	100	1 1 1
28.13	37	1 0 2
33.13	30	1 1 2
34.70	47	2 0 0
45.25	19	2 1 2
49.88	16	2 2 0
51.95	27	1 1 4
57.52	24	3 1 1
74.89	18	3 1 4

Crystal structure
```
CsRbSm2P2
1.0
5.1707 0.0000 0.0000
0.0000 5.1707 0.0000
0.0000 0.0000 8.0325
Cs Rb Sm P
1 1 2 2
Cartesian
0.0000 0.0000 0.0000 Cs
2.5853 2.5853 1.9101 Rb
0.0000 2.5853 4.9349 Sm
2.5853 0.0000 4.9349 Sm
0.0000 0.0000 3.7337 P
2.5853 2.5853 6.2459 P
```


2.
The following is a calculated PXRD pattern of CsAlCuSe3. It was derived from a crystal structure in OQMD, relaxed with PBE, using λ = 1.5418 Å (Cu Kα).
Lines closer than 0.1° are merged.

Most intense lines, 2θ = 15–90°, by angle:
2theta	intensity	index
27.58	31	4 0 2
28.05	22	2 0 3
29.94	100	3 1 1
31.27	23	2 1 2
32.38	16	6 0 0
36.95	19	2 1 3
40.18	22	5 1 2
48.23	21	0 2 0
48.66	31	7 1 2
51.62	22	2 1 5

Crystal structure
```
CsAlCuSe3
1.0
16.5897 0.0000 0.0000
0.0000 3.7737 0.0000
0.0000 0.0000 10.3320
Cs Al Cu Se
4 4 4 12
Cartesian
3.9106 0.9434 0.4215 Cs
4.3842 2.8302 5.5876 Cs
12.2054 0.9434 4.7445 Cs
12.6791 2.8302 9.9105 Cs
0.2932 0.9434 3.6569 Al
8.0017 2.8302 8.8230 Al
8.5880 0.9434 1.5091 Al
16.2965 2.8302 6.6751 Al
0.2022 2.8302 0.8780 Cu
8.0927 0.9434 6.0440 Cu
8.4970 2.8302 4.2880 Cu
16.3875 0.9434 9.4540 Cu
1.2751 2.8302 9.0145 Se
1.3382 0.9434 5.9687 Se
1.7906 2.8302 2.7454 Se
6.5043 0.9434 7.9114 Se
6.9566 2.8302 0.8027 Se
7.0197 0.9434 3.8485 Se
9.5700 2.8302 6.4835 Se
9.6330 0.9434 9.5294 Se
10.0854 2.8302 2.4207 Se
14.7991 0.9434 7.5867 Se
15.2515 2.8302 4.3634 Se
15.3146 0.9434 1.3175 Se
```